Starting from a PBE-relaxed structure, the powder XRD pattern of TbGaCu11 was computed for CuKα.
Lines closer than 0.1° are merged.

Main lines, in order of rising 2θ (10 to 80 degrees two-theta):
- 2θ 29.83, I 16, (1 1 -2)
- 2θ 36.46, I 29, (1 3 1)
- 2θ 36.73, I 26, (1 3 -2)
- 2θ 37.09, I 19, (2 0 -1)
- 2θ 41.94, I 28, (1 1 2)
- 2θ 42.32, I 100, (0 4 2)
- 2θ 42.76, I 99, (2 2 0)
- 2θ 43.06, I 44, (2 2 -2)
- 2θ 48.30, I 27, (2 4 -1)
- 2θ 78.10, I 17, (2 6 -4)

Cell and atoms:
```
data_TbGaCu11
_cell_length_a 4.848
_cell_length_b 11.968
_cell_length_c 6.539
_cell_angle_alpha 90.00
_cell_angle_beta 111.08
_cell_angle_gamma 90.00
_space_group_name_H-M_alt 'C 1 2/m 1'
_space_group_IT_number 12
loop_
_space_group_symop_operation_xyz
'x,y,z'
'-x,-y,-z'
'-x,y,-z'
'x,-y,z'
'x+1/2,y+1/2,z'
'-x+1/2,-y+1/2,-z'
'-x+1/2,y+1/2,-z'
'x+1/2,-y+1/2,z'
loop_
_atom_site_label
_atom_site_type_symbol
_atom_site_fract_x
_atom_site_fract_y
_atom_site_fract_z
Tb1 Tb 0.000 0.000 0.000
Ga1 Ga 0.000 0.500 0.500
Cu1 Cu 0.000 0.000 0.500
Cu2 Cu 0.108 0.388 0.220
Cu3 Cu 0.165 0.180 0.352
Cu4 Cu 0.250 0.250 0.000
```